Entry 1:
Simulated powder X-ray diffraction pattern of ZrHg2I5 for Cu Kα, 1.54184 Å, from a crystal structure in Alexandria, relaxed with GGA-PBE.

Structural model:
```
data_ZrHg2I5
_chemical_formula_sum 'Zr1 Hg2 I5'
_symmetry_space_group_name_H-M 'P 1'
_symmetry_Int_Tables_number 1
_cell_length_a 8.252
_cell_length_b 8.253
_cell_length_c 8.297
_cell_angle_alpha 103.38
_cell_angle_beta 109.56
_cell_angle_gamma 115.50
loop_
_symmetry_equiv_pos_as_xyz
'x,y,z'
loop_
_atom_site_label
_atom_site_type_symbol
_atom_site_fract_x
_atom_site_fract_y
_atom_site_fract_z
Zr1 Zr 0.000 0.000 0.000
Hg1 Hg 0.218 0.496 0.716
Hg2 Hg 0.535 0.501 0.036
I1 I 0.288 0.409 0.262
I2 I 0.296 0.028 0.887
I3 I 0.717 0.998 0.715
I4 I 0.852 0.973 0.262
I5 I 0.859 0.592 0.887
```

Largest 10 diffraction maxima, sorted by position, 15 to 90 degrees two-theta:
2θ/deg, d (Å), Rel. int.
18.59, 4.772, 59
23.88, 3.726, 37
26.68, 3.341, 100
27.60, 3.231, 25
29.33, 3.045, 25
29.46, 3.032, 21
34.57, 2.594, 26
43.11, 2.099, 28
43.84, 2.065, 26
44.12, 2.053, 25


Entry 2:
Simulated powder X-ray diffraction pattern of InHg3 for Cu Kα, 1.54184 Å, from a crystal structure in Alexandria, relaxed with GGA-PBE.

Structural model:
```
data_InHg3
_chemical_formula_sum 'In1 Hg3'
_symmetry_space_group_name_H-M 'P m m m'
_symmetry_Int_Tables_number 47
_cell_length_a 3.196
_cell_length_b 4.935
_cell_length_c 6.782
_cell_angle_alpha 90.00
_cell_angle_beta 90.00
_cell_angle_gamma 90.00
loop_
_symmetry_equiv_pos_as_xyz
'x,y,z'
'-x,-y,-z'
'-x,-y,z'
'x,y,-z'
'x,-y,-z'
'-x,y,z'
'-x,y,-z'
'x,-y,z'
loop_
_atom_site_label
_atom_site_type_symbol
_atom_site_fract_x
_atom_site_fract_y
_atom_site_fract_z
In1 In 0.000 0.000 0.000
Hg1 Hg 0.000 0.000 0.500
Hg2 Hg 0.500 0.500 0.252
```

Largest 10 diffraction maxima, sorted by position, 15 to 90 degrees two-theta:
2θ/deg, d (Å), Rel. int.
32.02, 2.795, 100
33.40, 2.683, 90
36.41, 2.468, 36
38.71, 2.326, 60
54.17, 1.693, 57
62.78, 1.480, 15
63.61, 1.463, 14
65.08, 1.433, 27
67.51, 1.387, 24
88.23, 1.108, 12


Entry 3:
Simulated powder X-ray diffraction pattern of In4Hg for Cu Kα, 1.54184 Å, from a crystal structure in Alexandria, relaxed with GGA-PBE.

Structural model:
```
data_In4Hg
_chemical_formula_sum 'In8 Hg2'
_symmetry_space_group_name_H-M 'P 1'
_symmetry_Int_Tables_number 1
_cell_length_a 5.895
_cell_length_b 5.989
_cell_length_c 8.368
_cell_angle_alpha 85.69
_cell_angle_beta 75.39
_cell_angle_gamma 69.18
loop_
_symmetry_equiv_pos_as_xyz
'x,y,z'
loop_
_atom_site_label
_atom_site_type_symbol
_atom_site_fract_x
_atom_site_fract_y
_atom_site_fract_z
In1 In 0.000 0.000 0.000
In2 In 0.085 0.502 0.795
In3 In 0.192 0.002 0.595
In4 In 0.293 0.504 0.395
In5 In 0.493 0.499 0.994
In6 In 0.591 0.001 0.801
In7 In 0.786 0.004 0.399
In8 In 0.888 0.503 0.200
Hg1 Hg 0.393 0.003 0.198
Hg2 Hg 0.689 0.502 0.597
```

Largest 10 diffraction maxima, sorted by position, 15 to 90 degrees two-theta:
2θ/deg, d (Å), Rel. int.
31.71, 2.822, 100
31.98, 2.799, 97
32.64, 2.744, 92
34.68, 2.587, 78
36.92, 2.435, 66
37.63, 2.390, 62
39.47, 2.283, 55
52.14, 1.754, 24
52.70, 1.737, 23
66.22, 1.411, 23


Entry 4:
Simulated powder X-ray diffraction pattern of InHg for Cu Kα, 1.54184 Å, from a crystal structure in Alexandria, relaxed with GGA-PBE.

Structural model:
```
data_InHg
_chemical_formula_sum 'In2 Hg2'
_symmetry_space_group_name_H-M 'C 1 2/m 1'
_symmetry_Int_Tables_number 12
_cell_length_a 5.888
_cell_length_b 3.797
_cell_length_c 4.980
_cell_angle_alpha 90.00
_cell_angle_beta 106.05
_cell_angle_gamma 90.00
loop_
_symmetry_equiv_pos_as_xyz
'x,y,z'
'-x,-y,-z'
'-x,y,-z'
'x,-y,z'
'x+1/2,y+1/2,z'
'-x+1/2,-y+1/2,-z'
'-x+1/2,y+1/2,-z'
'x+1/2,-y+1/2,z'
loop_
_atom_site_label
_atom_site_type_symbol
_atom_site_fract_x
_atom_site_fract_y
_atom_site_fract_z
In1 In 0.000 0.000 0.000
Hg1 Hg 0.000 0.500 0.500
```

Largest 10 diffraction maxima, sorted by position, 15 to 90 degrees two-theta:
2θ/deg, d (Å), Rel. int.
31.48, 2.842, 100
31.63, 2.829, 49
36.46, 2.464, 68
37.59, 2.393, 31
42.19, 2.142, 23
47.91, 1.899, 16
52.82, 1.733, 23
58.55, 1.577, 18
60.91, 1.521, 15
62.44, 1.487, 14


Entry 5:
Simulated powder X-ray diffraction pattern of In7Hg5 for Cu Kα, 1.54184 Å, from a crystal structure in Alexandria, relaxed with GGA-PBE.

Structural model:
```
data_In7Hg5
_chemical_formula_sum 'In14 Hg10'
_symmetry_space_group_name_H-M 'C 1 2/m 1'
_symmetry_Int_Tables_number 12
_cell_length_a 15.921
_cell_length_b 3.682
_cell_length_c 11.082
_cell_angle_alpha 90.00
_cell_angle_beta 100.12
_cell_angle_gamma 90.00
loop_
_symmetry_equiv_pos_as_xyz
'x,y,z'
'-x,-y,-z'
'-x,y,-z'
'x,-y,z'
'x+1/2,y+1/2,z'
'-x+1/2,-y+1/2,-z'
'-x+1/2,y+1/2,-z'
'x+1/2,-y+1/2,z'
loop_
_atom_site_label
_atom_site_type_symbol
_atom_site_fract_x
_atom_site_fract_y
_atom_site_fract_z
In1 In 0.000 0.000 0.000
In2 In 0.081 0.000 0.745
In3 In 0.091 0.500 0.243
In4 In 0.164 0.000 0.494
Hg1 Hg 0.000 0.500 0.500
Hg2 Hg 0.167 0.500 0.994
Hg3 Hg 0.244 0.500 0.746
```

Largest 10 diffraction maxima, sorted by position, 15 to 90 degrees two-theta:
2θ/deg, d (Å), Rel. int.
31.63, 2.829, 100
32.84, 2.728, 46
35.39, 2.536, 36
36.79, 2.443, 67
40.84, 2.210, 25
49.52, 1.841, 15
54.38, 1.687, 22
57.83, 1.594, 17
60.70, 1.526, 16
62.33, 1.490, 14


Entry 6:
Simulated powder X-ray diffraction pattern of In5Hg24 for Cu Kα, 1.54184 Å, from a crystal structure in Alexandria, relaxed with GGA-PBE.

Structural model:
```
data_In5Hg24
_chemical_formula_sum 'In10 Hg48'
_symmetry_space_group_name_H-M 'I -4 3 m'
_symmetry_Int_Tables_number 217
_symmetry_space_group_name_Hall 'I -4 2 3'
_cell_length_a 11.627
_cell_length_b 11.627
_cell_length_c 11.627
_cell_angle_alpha 90.00
_cell_angle_beta 90.00
_cell_angle_gamma 90.00
loop_
_atom_site_label
_atom_site_type_symbol
_atom_site_fract_x
_atom_site_fract_y
_atom_site_fract_z
In1 In 0.000 0.000 0.000
In2 In 0.165 0.165 0.835
Hg1 Hg 0.061 0.364 0.364
Hg2 Hg 0.099 0.099 0.292
```

Largest 10 diffraction maxima, sorted by position, 15 to 90 degrees two-theta:
2θ/deg, d (Å), Rel. int.
30.76, 2.907, 30
32.67, 2.741, 100
36.24, 2.479, 50
37.91, 2.373, 14
39.52, 2.280, 40
55.92, 1.644, 19
58.32, 1.582, 21
59.49, 1.554, 15
60.65, 1.527, 12
69.55, 1.352, 15


Entry 7:
Simulated powder X-ray diffraction pattern of InHg for Cu Kα, 1.54184 Å, from a crystal structure in Alexandria, relaxed with GGA-PBE.

Structural model:
```
data_InHg
_chemical_formula_sum 'In4 Hg4'
_symmetry_space_group_name_H-M 'P 21 3'
_symmetry_Int_Tables_number 198
_symmetry_space_group_name_Hall 'P 2ac 2ab 3'
_cell_length_a 5.990
_cell_length_b 5.990
_cell_length_c 5.990
_cell_angle_alpha 90.00
_cell_angle_beta 90.00
_cell_angle_gamma 90.00
loop_
_atom_site_label
_atom_site_type_symbol
_atom_site_fract_x
_atom_site_fract_y
_atom_site_fract_z
In1 In 0.093 0.093 0.093
Hg1 Hg 0.090 0.590 0.910
```

Largest 10 diffraction maxima, sorted by position, 15 to 90 degrees two-theta:
2θ/deg, d (Å), Rel. int.
25.76, 3.459, 11
29.83, 2.995, 19
33.45, 2.679, 100
36.75, 2.446, 45
45.42, 1.997, 15
57.57, 1.601, 42
64.09, 1.453, 12
68.25, 1.374, 12
72.28, 1.307, 12
82.02, 1.175, 11


Entry 8:
Simulated powder X-ray diffraction pattern of In4Hg for Cu Kα, 1.54184 Å, from a crystal structure in Alexandria, relaxed with GGA-PBE.

Structural model:
```
data_In4Hg
_chemical_formula_sum 'In8 Hg2'
_symmetry_space_group_name_H-M 'P 4/n b m'
_symmetry_Int_Tables_number 125
_cell_length_a 6.857
_cell_length_b 6.857
_cell_length_c 5.875
_cell_angle_alpha 90.00
_cell_angle_beta 90.00
_cell_angle_gamma 90.00
loop_
_symmetry_equiv_pos_as_xyz
'x,y,z'
'-x,-y,-z'
'-y+1/2,x,z'
'y+1/2,-x,-z'
'-x+1/2,-y+1/2,z'
'x+1/2,y+1/2,-z'
'y,-x+1/2,z'
'-y,x+1/2,-z'
'x,-y+1/2,-z'
'-x,y+1/2,z'
'-y+1/2,-x+1/2,-z'
'y+1/2,x+1/2,z'
'-x+1/2,y,-z'
'x+1/2,-y,z'
'y,x,-z'
'-y,-x,z'
loop_
_atom_site_label
_atom_site_type_symbol
_atom_site_fract_x
_atom_site_fract_y
_atom_site_fract_z
In1 In 0.087 0.587 0.225
Hg1 Hg 0.250 0.250 0.500
```

Largest 10 diffraction maxima, sorted by position, 15 to 90 degrees two-theta:
2θ/deg, d (Å), Rel. int.
23.79, 3.740, 44
30.18, 2.961, 28
32.95, 2.719, 100
35.74, 2.513, 34
37.08, 2.424, 13
40.43, 2.231, 38
41.65, 2.168, 42
55.69, 1.651, 17
57.60, 1.600, 16
65.97, 1.416, 22


Entry 9:
Simulated powder X-ray diffraction pattern of InHg for Cu Kα, 1.54184 Å, from a crystal structure in Alexandria, relaxed with GGA-PBE.

Structural model:
```
data_InHg
_chemical_formula_sum 'In2 Hg2'
_symmetry_space_group_name_H-M 'P -1'
_symmetry_Int_Tables_number 2
_cell_length_a 3.737
_cell_length_b 4.998
_cell_length_c 6.025
_cell_angle_alpha 90.71
_cell_angle_beta 105.64
_cell_angle_gamma 90.05
loop_
_symmetry_equiv_pos_as_xyz
'x,y,z'
'-x,-y,-z'
loop_
_atom_site_label
_atom_site_type_symbol
_atom_site_fract_x
_atom_site_fract_y
_atom_site_fract_z
In1 In 0.040 0.273 0.251
Hg1 Hg 0.468 0.227 0.762
```

Largest 10 diffraction maxima, sorted by position, 15 to 90 degrees two-theta:
2θ/deg, d (Å), Rel. int.
30.83, 2.901, 100
31.08, 2.878, 83
31.18, 2.868, 97
35.94, 2.499, 62
37.23, 2.415, 61
37.54, 2.396, 54
47.73, 1.906, 26
48.39, 1.881, 28
50.39, 1.811, 21
50.77, 1.798, 45


Entry 10:
Simulated powder X-ray diffraction pattern of InHg3 for Cu Kα, 1.54184 Å, from a crystal structure in Alexandria, relaxed with GGA-PBE.

Structural model:
```
data_InHg3
_chemical_formula_sum 'In2 Hg6'
_symmetry_space_group_name_H-M 'P 63/m m c'
_symmetry_Int_Tables_number 194
_symmetry_space_group_name_Hall '-P 6c 2c'
_cell_length_a 6.6847
_cell_length_b 6.6847
_cell_length_c 5.5030
_cell_angle_alpha 90.00
_cell_angle_beta 90.00
_cell_angle_gamma 120.00
loop_
_atom_site_label
_atom_site_type_symbol
_atom_site_fract_x
_atom_site_fract_y
_atom_site_fract_z
In1 In 0.3333 0.6667 0.2500
Hg1 Hg 0.1657 0.3315 0.7500
```

Largest 10 diffraction maxima, sorted by position, 15 to 90 degrees two-theta:
2θ/deg, d (Å), Rel. int.
30.89, 2.895, 23
32.54, 2.752, 27
35.03, 2.562, 100
45.48, 1.994, 16
54.94, 1.671, 19
59.68, 1.549, 22
65.33, 1.428, 22
66.84, 1.400, 16
74.01, 1.281, 4
85.45, 1.136, 8


Entry 11:
Simulated powder X-ray diffraction pattern of In3Hg5 for Cu Kα, 1.54184 Å, from a crystal structure in Alexandria, relaxed with GGA-PBE.

Structural model:
```
data_In3Hg5
_chemical_formula_sum 'In12 Hg20'
_symmetry_space_group_name_H-M 'C 1 2/m 1'
_symmetry_Int_Tables_number 12
_cell_length_a 6.141
_cell_length_b 16.784
_cell_length_c 8.659
_cell_angle_alpha 90.00
_cell_angle_beta 106.40
_cell_angle_gamma 90.00
loop_
_symmetry_equiv_pos_as_xyz
'x,y,z'
'-x,-y,-z'
'-x,y,-z'
'x,-y,z'
'x+1/2,y+1/2,z'
'-x+1/2,-y+1/2,-z'
'-x+1/2,y+1/2,-z'
'x+1/2,-y+1/2,z'
loop_
_atom_site_label
_atom_site_type_symbol
_atom_site_fract_x
_atom_site_fract_y
_atom_site_fract_z
In1 In 0.000 0.166 0.000
In2 In 0.000 0.228 0.500
In3 In 0.237 0.000 0.668
Hg1 Hg 0.121 0.327 0.190
Hg2 Hg 0.231 0.500 0.962
Hg3 Hg 0.249 0.098 0.353
```

Largest 10 diffraction maxima, sorted by position, 15 to 90 degrees two-theta:
2θ/deg, d (Å), Rel. int.
30.31, 2.949, 31
31.05, 2.880, 64
32.04, 2.793, 27
32.21, 2.779, 47
33.74, 2.656, 100
33.81, 2.651, 49
34.10, 2.630, 44
35.04, 2.561, 50
36.32, 2.473, 37
37.79, 2.381, 29


Entry 12:
Simulated powder X-ray diffraction pattern of In3Hg13 for Cu Kα, 1.54184 Å, from a crystal structure in Alexandria, relaxed with GGA-PBE.

Structural model:
```
data_In3Hg13
_chemical_formula_sum 'In6 Hg26'
_symmetry_space_group_name_H-M 'A m m 2'
_symmetry_Int_Tables_number 38
_cell_length_a 8.186
_cell_length_b 10.182
_cell_length_c 10.236
_cell_angle_alpha 90.00
_cell_angle_beta 90.00
_cell_angle_gamma 90.00
loop_
_symmetry_equiv_pos_as_xyz
'x,y,z'
'-x,-y,z'
'-x,y,z'
'x,-y,z'
'x,y+1/2,z+1/2'
'-x,-y+1/2,z+1/2'
'-x,y+1/2,z+1/2'
'x,-y+1/2,z+1/2'
loop_
_atom_site_label
_atom_site_type_symbol
_atom_site_fract_x
_atom_site_fract_y
_atom_site_fract_z
In1 In 0.000 0.000 0.000
In2 In 0.258 0.000 0.262
Hg1 Hg 0.000 0.000 0.507
Hg2 Hg 0.000 0.245 0.256
Hg3 Hg 0.247 0.000 0.756
Hg4 Hg 0.250 0.249 0.008
Hg5 Hg 0.500 0.000 0.007
Hg6 Hg 0.500 0.000 0.512
Hg7 Hg 0.500 0.245 0.758
```

Largest 10 diffraction maxima, sorted by position, 15 to 90 degrees two-theta:
2θ/deg, d (Å), Rel. int.
33.09, 2.707, 100
35.07, 2.559, 22
35.26, 2.546, 21
44.26, 2.047, 11
50.57, 1.805, 15
57.68, 1.598, 10
57.81, 1.595, 10
61.65, 1.504, 17
61.90, 1.499, 17
69.43, 1.354, 12


Which formula does entry 12 have? In3Hg13